1.
For BaPtF5, a crystal structure in Alexandria, relaxed with GGA-PBE gives the simulated XRD peak list in this record (Cu Kα).
Neutral-atom scattering factors, no anomalous dispersion.

Structural model:
Cell lengths 8.9741, 5.9048, 9.2042 Å; angles 90.00, 112.38, 90.00 degrees
Space group C2/c (No. 15)
Symmetry-distinct sites (fractional):
Ba: 0.0000 0.0126 0.2500 (multiplicity 4)
Pt: 0.0000 0.5000 0.0000 (multiplicity 4)
F: 0.0000 0.4790 0.7500 (multiplicity 4)
F: 0.1116 0.2000 0.5424 (multiplicity 8)
F: 0.1985 0.3256 0.1217 (multiplicity 8)

Top 6 peaks for 10° ≤ 2θ ≤ 80°, by angle:
| index | d [Å] | I/Imax |
| --- | --- | --- |
| 2 0 0 | 4.149 | 75 |
| 1 1 -2 | 3.607 | 100 |
| 1 1 2 | 2.887 | 47 |
| 3 1 -2 | 2.583 | 38 |
| 2 2 0 | 2.406 | 45 |
| 2 0 -4 | 2.278 | 26 |


2.
For Mo17Ru12, a crystal structure in Alexandria, relaxed with GGA-PBE gives the simulated XRD peak list in this record (Cu Kα).
Neutral-atom scattering factors, no anomalous dispersion.

Structural model:
Cell lengths 9.6095, 9.6095, 9.6095 Å; angles 90.00, 90.00, 90.00 degrees
Space group I-43m (No. 217)
Symmetry-distinct sites (fractional):
Mo: 0.0000 0.0000 0.0000 (multiplicity 2)
Mo: 0.0376 0.3546 0.6454 (multiplicity 24)
Mo: 0.1761 0.1761 0.1761 (multiplicity 8)
Ru: 0.0910 0.0910 0.7183 (multiplicity 24)

Top 6 peaks for 10° ≤ 2θ ≤ 80°, by angle:
| index | d [Å] | I/Imax |
| --- | --- | --- |
| 4 1 1 | 2.265 | 100 |
| 3 3 2 | 2.049 | 26 |
| 4 2 2 | 1.962 | 10 |
| 4 3 1 | 1.885 | 17 |
| 5 5 0 | 1.359 | 8 |
| 7 2 1 | 1.308 | 26 |


3.
For LaNd6Ag2, a crystal structure in Alexandria, relaxed with GGA-PBE gives the simulated XRD peak list in this record (Cu Kα).
Neutral-atom scattering factors, no anomalous dispersion.

Structural model:
Cell lengths 12.9432, 3.7947, 12.2088 Å; angles 90.00, 108.38, 90.00 degrees
Space group C2/m (No. 12)
Symmetry-distinct sites (fractional):
La: 0.0000 0.0000 0.0000 (multiplicity 2)
Nd: 0.0231 0.0000 0.3346 (multiplicity 4)
Nd: 0.1850 0.5000 0.8758 (multiplicity 4)
Nd: 0.1868 0.5000 0.5880 (multiplicity 4)
Ag: 0.1506 0.5000 0.2073 (multiplicity 4)

Top 6 peaks for 10° ≤ 2θ ≤ 80°, by angle:
| index | d [Å] | I/Imax |
| --- | --- | --- |
| 4 0 -3 | 2.889 | 28 |
| 2 0 3 | 2.885 | 24 |
| 1 1 -3 | 2.779 | 100 |
| 7 1 -3 | 1.647 | 12 |
| 5 1 -6 | 1.643 | 15 |
| 4 2 -3 | 1.585 | 16 |


4.
For Na5B7C3, a crystal structure in Alexandria, relaxed with GGA-PBE gives the simulated XRD peak list in this record (Cu Kα).
Neutral-atom scattering factors, no anomalous dispersion.

Structural model:
Cell lengths 4.9932, 7.6905, 9.0419 Å; angles 93.61, 106.01, 108.94 degrees
Space group P1 (No. 1)
Symmetry-distinct sites (fractional):
Na: 0.0000 0.0000 0.0000 (multiplicity 1)
Na: 0.0931 0.6984 0.4924 (multiplicity 1)
Na: 0.1965 0.4006 0.9990 (multiplicity 1)
Na: 0.2934 0.0981 0.4930 (multiplicity 1)
Na: 0.3968 0.8000 0.9996 (multiplicity 1)
Na: 0.4923 0.4987 0.4931 (multiplicity 1)
Na: 0.5963 0.1984 0.9977 (multiplicity 1)
Na: 0.6950 0.8985 0.4925 (multiplicity 1)
Na: 0.7969 0.5994 0.0011 (multiplicity 1)
Na: 0.8924 0.2981 0.4935 (multiplicity 1)
B: 0.0110 0.4494 0.2462 (multiplicity 1)
B: 0.1147 0.1502 0.7471 (multiplicity 1)
B: 0.1776 0.9487 0.7468 (multiplicity 1)
B: 0.2289 0.8493 0.2461 (multiplicity 1)
B: 0.3886 0.3606 0.7462 (multiplicity 1)
B: 0.4110 0.2487 0.2467 (multiplicity 1)
B: 0.5285 0.9489 0.7459 (multiplicity 1)
B: 0.5557 0.7311 0.7456 (multiplicity 1)
B: 0.6026 0.6377 0.2456 (multiplicity 1)
B: 0.7744 0.1663 0.7463 (multiplicity 1)
B: 0.8143 0.0606 0.2464 (multiplicity 1)
B: 0.8771 0.8491 0.2455 (multiplicity 1)
B: 0.9127 0.7479 0.7462 (multiplicity 1)
B: 0.9767 0.5371 0.7458 (multiplicity 1)
C: 0.0765 0.2549 0.2468 (multiplicity 1)
C: 0.2765 0.6463 0.2455 (multiplicity 1)
C: 0.3023 0.5447 0.7452 (multiplicity 1)
C: 0.4800 0.0520 0.2469 (multiplicity 1)
C: 0.6704 0.4434 0.2463 (multiplicity 1)
C: 0.7073 0.3529 0.7461 (multiplicity 1)

Top 6 peaks for 10° ≤ 2θ ≤ 80°, by angle:
| index | d [Å] | I/Imax |
| --- | --- | --- |
| 1 2 -1 | 2.514 | 19 |
| 1 2 1 | 2.168 | 100 |
| 2 -1 1 | 2.157 | 51 |
| 0 0 4 | 2.142 | 38 |
| 3 1 -2 | 1.445 | 17 |
| 1 -3 6 | 1.242 | 12 |